This entry pairs a crystal structure of Tb4PrAl2 with its computed X-ray diffraction stick pattern. Radiation: Cu Kα (λ = 1.5418 Å). Structure: a GGA-PBE-relaxed structure.

Atomic structure:
```
data_Tb4PrAl2
_chemical_formula_sum 'Tb4 Pr1 Al2'
_space_group_name_H-M_alt 'P 1'
_space_group_IT_number 1
_space_group_name_Hall 'P 1'
_cell_length_a 8.4791
_cell_length_b 8.4791
_cell_length_c 8.4791
_cell_angle_alpha 36.80
_cell_angle_beta 36.80
_cell_angle_gamma 36.80
loop_
_atom_site_label
_atom_site_type_symbol
_atom_site_fract_x
_atom_site_fract_y
_atom_site_fract_z
Tb1 Tb 0.0809 0.0809 0.0809
Tb2 Tb 0.3456 0.3456 0.3456
Tb3 Tb 0.6544 0.6544 0.6544
Tb4 Tb 0.9191 0.9191 0.9191
Pr1 Pr 0.5000 0.5000 0.5000
Al1 Al 0.2182 0.2182 0.2182
Al2 Al 0.7818 0.7818 0.7818
```

Most intense lines, 2θ from 5° to 70°, by angle:
11.2 deg, I 13; 24.4 deg, I 12; 26.9 deg, I 41; 32.8 deg, I 89; 33.5 deg, I 100; 43.5 deg, I 11; 47.6 deg, I 32; 58.1 deg, I 32; 59.4 deg, I 33; 59.9 deg, I 19